Diffraction record for La2Tb3Ho9. The X-ray diffraction stick pattern is computed, not measured: it uses DFT lattice parameters and positions (PBE) and Cu Kα, 1.54184 Å.
Intensities are scaled so that the largest is 100.

Structural model:
```
La2Tb3Ho9
1.0
6.234 0.000 0.000
1.968 8.547 0.000
0.578 1.603 8.636
La Tb Ho
2 3 9
Direct
0.000 0.000 0.000 La
0.089 0.584 0.058 La
0.297 0.028 0.653 Tb
0.479 0.236 0.012 Tb
0.809 0.576 0.415 Tb
0.020 0.218 0.282 Ho
0.042 0.388 0.768 Ho
0.203 0.808 0.370 Ho
0.371 0.400 0.400 Ho
0.461 0.593 0.720 Ho
0.548 0.797 0.036 Ho
0.639 0.988 0.348 Ho
0.736 0.195 0.641 Ho
0.890 0.795 0.697 Ho
```

Peak list (10 most intense, 10 to 90 degrees two-theta, low angle first)
index  two_theta  d [Å]  I (rel.)
0 1 3  30.95  2.889  29
0 0 3  31.07  2.879  45
1 -2 1  31.42  2.847  100
2 1 -1  31.75  2.819  42
1 3 1  31.83  2.811  69
-1 2 2  33.03  2.712  55
1 2 -2  33.82  2.650  28
2 1 2  34.22  2.620  52
1 3 4  48.16  1.889  21
2 0 -4  52.59  1.740  17